(1)
For SrLaAlCuO5, DFT lattice parameters and positions (GGA-PBE) gives the computed powder XRD pattern in this record (Cu Kα X-rays).

Top 8 peaks for 10 to 80 degrees two-theta, by angle:
10.96 deg, I 35; 22.84 deg, I 18; 31.94 deg, I 100; 32.35 deg, I 22; 32.69 deg, I 33; 40.76 deg, I 20; 46.65 deg, I 30; 57.87 deg, I 18

Crystal structure
```
SrLaAlCuO5
1.0
8.0721 0.0000 0.0000
0.0000 11.0701 0.0000
0.0000 0.0000 5.4786
Sr La Al Cu O
4 4 4 4 20
direct
0.2416 0.0999 0.2500
0.2416 0.4001 0.7500
0.7584 0.5999 0.2500
0.7584 0.9001 0.7500
0.3102 0.6318 0.2500
0.3102 0.8682 0.7500
0.6898 0.1318 0.2500
0.6898 0.3682 0.7500
0.0024 0.1573 0.7500
0.0024 0.3427 0.2500
0.9976 0.6573 0.7500
0.9976 0.8427 0.2500
0.4765 0.1267 0.7500
0.4765 0.3733 0.2500
0.5235 0.6267 0.7500
0.5235 0.8733 0.2500
0.0598 0.2500 0.0000
0.0598 0.2500 0.5000
0.1254 0.0267 0.7500
0.1254 0.4733 0.2500
0.2165 0.6422 0.7500
0.2165 0.8578 0.2500
0.4680 0.2500 0.0000
0.4680 0.2500 0.5000
0.5000 0.0000 0.0000
0.5000 0.0000 0.5000
0.5000 0.5000 0.0000
0.5000 0.5000 0.5000
0.5320 0.7500 0.0000
0.5320 0.7500 0.5000
0.7835 0.1422 0.7500
0.7835 0.3578 0.2500
0.8746 0.5267 0.7500
0.8746 0.9733 0.2500
0.9402 0.7500 0.0000
0.9402 0.7500 0.5000
```

(2)
For YBRh3, DFT lattice parameters and positions (GGA-PBE) gives the computed powder XRD pattern in this record (Cu Kα X-rays).

Top 6 peaks for 10 to 80 degrees two-theta, by angle:
21.08 deg, I 1; 36.94 deg, I 100; 42.92 deg, I 53; 62.32 deg, I 34; 74.70 deg, I 37; 78.65 deg, I 11

Crystal structure
```
YBRh3
1.0
4.2143 0.0000 0.0000
0.0000 4.2143 0.0000
0.0000 0.0000 4.2143
Y B Rh
1 1 3
direct
0.0000 0.0000 0.0000
0.5000 0.5000 0.5000
0.0000 0.5000 0.5000
0.5000 0.0000 0.5000
0.5000 0.5000 0.0000
```

(3)
For Cs3SrCu2C7S7N7, DFT lattice parameters and positions (GGA-PBE) gives the computed powder XRD pattern in this record (Cu Kα X-rays).

Top 8 peaks for 10 to 80 degrees two-theta, by angle:
18.37 deg, I 74; 20.94 deg, I 69; 22.88 deg, I 74; 27.12 deg, I 100; 28.84 deg, I 82; 28.96 deg, I 34; 31.21 deg, I 76; 37.66 deg, I 44

Crystal structure
```
Cs3SrCu2C7S7N7
1.0
-5.4965 5.4965 10.1264
5.4965 -5.4965 10.1264
5.4965 5.4965 -10.1264
Cs Sr Cu C S N
6 2 4 14 14 14
direct
0.0000 0.5000 0.5000
0.0628 0.0628 0.5245
0.4617 0.9372 0.0000
0.5000 0.0000 0.5000
0.5383 0.5383 0.4755
0.9372 0.4617 0.0000
0.0960 0.0960 0.0000
0.9040 0.9040 0.0000
0.2533 0.5485 0.0000
0.4515 0.4515 0.7048
0.5485 0.2533 0.0000
0.7467 0.7467 0.2952
0.0701 0.8308 0.6092
0.1692 0.7785 0.2394
0.2060 0.2060 0.4201
0.2141 0.7940 0.0000
0.2215 0.4609 0.3908
0.2934 0.2934 0.0000
0.4609 0.2215 0.3908
0.5391 0.9299 0.7606
0.7066 0.7066 0.0000
0.7785 0.1692 0.2394
0.7859 0.7859 0.5799
0.7940 0.2141 0.0000
0.8308 0.0701 0.6092
0.9299 0.5391 0.7606
0.0228 0.4221 0.7512
0.2716 0.6709 0.2488
0.3035 0.3035 0.6310
0.3276 0.6965 0.0000
0.3291 0.5779 0.6007
0.3754 0.3754 0.0000
0.4221 0.0228 0.7512
0.5779 0.3291 0.6007
0.6246 0.6246 0.0000
0.6709 0.2716 0.2488
0.6724 0.6724 0.3690
0.6965 0.3276 0.0000
0.7284 0.9772 0.3993
0.9772 0.7284 0.3993
0.0956 0.8567 0.2326
0.1333 0.1333 0.2680
0.1347 0.8667 0.0000
0.1370 0.9044 0.7611
0.1433 0.3759 0.2389
0.2350 0.2350 0.0000
0.3759 0.1433 0.2389
0.6241 0.8630 0.7674
0.7650 0.7650 0.0000
0.8567 0.0956 0.2326
0.8630 0.6241 0.7674
0.8653 0.8653 0.7320
0.8667 0.1347 0.0000
0.9044 0.1370 0.7611
```

(4)
For RbHg11, DFT lattice parameters and positions (GGA-PBE) gives the computed powder XRD pattern in this record (Cu Kα X-rays).

Top 8 peaks for 10 to 80 degrees two-theta, by angle:
28.32 deg, I 42; 29.61 deg, I 47; 30.85 deg, I 29; 35.41 deg, I 100; 36.48 deg, I 62; 39.51 deg, I 35; 56.37 deg, I 34; 65.65 deg, I 33

Crystal structure
```
RbHg11
1.0
10.4509 0.0000 0.0000
0.0000 10.4509 0.0000
0.0000 0.0000 10.4509
Rb Hg
3 33
direct
0.0000 0.0000 0.5000
0.0000 0.5000 0.0000
0.5000 0.0000 0.0000
0.0000 0.3456 0.3456
0.0000 0.3456 0.6544
0.0000 0.6544 0.3456
0.0000 0.6544 0.6544
0.1530 0.1530 0.1530
0.1530 0.1530 0.8470
0.1530 0.8470 0.1530
0.1530 0.8470 0.8470
0.2687 0.2687 0.5000
0.2687 0.5000 0.2687
0.2687 0.5000 0.7313
0.2687 0.7313 0.5000
0.3456 0.0000 0.3456
0.3456 0.0000 0.6544
0.3456 0.3456 0.0000
0.3456 0.6544 0.0000
0.5000 0.2687 0.2687
0.5000 0.2687 0.7313
0.5000 0.5000 0.5000
0.5000 0.7313 0.2687
0.5000 0.7313 0.7313
0.6544 0.0000 0.3456
0.6544 0.0000 0.6544
0.6544 0.3456 0.0000
0.6544 0.6544 0.0000
0.7313 0.2687 0.5000
0.7313 0.5000 0.2687
0.7313 0.5000 0.7313
0.7313 0.7313 0.5000
0.8470 0.1530 0.1530
0.8470 0.1530 0.8470
0.8470 0.8470 0.1530
0.8470 0.8470 0.8470
```

(5)
For SnNF3, DFT lattice parameters and positions (GGA-PBE) gives the computed powder XRD pattern in this record (Cu Kα X-rays).

Top 8 peaks for 10 to 80 degrees two-theta, by angle:
14.12 deg, I 100; 28.10 deg, I 22; 28.39 deg, I 27; 29.88 deg, I 14; 31.39 deg, I 16; 36.76 deg, I 16; 36.90 deg, I 14; 37.62 deg, I 12

Crystal structure
```
SnNF3
1.0
3.6471 0.0000 0.0000
-1.0016 6.3232 0.0000
-1.3785 -0.8135 6.3505
Sn N F
2 2 6
direct
0.1532 0.4468 0.2638
0.8468 0.5532 0.7362
0.2503 0.3893 0.6160
0.7497 0.6107 0.3840
0.1913 0.1726 0.6522
0.2197 0.6662 0.0313
0.3768 0.1884 0.2322
0.6232 0.8116 0.7678
0.7803 0.3338 0.9687
0.8087 0.8274 0.3478
```

(6)
For Ca2TiAlO5, DFT lattice parameters and positions (GGA-PBE) gives the computed powder XRD pattern in this record (Cu Kα X-rays).

Top 8 peaks for 10 to 80 degrees two-theta, by angle:
12.21 deg, I 42; 31.28 deg, I 33; 32.99 deg, I 43; 33.60 deg, I 100; 43.96 deg, I 28; 46.10 deg, I 48; 57.16 deg, I 19; 59.31 deg, I 22

Crystal structure
```
Ca2TiAlO5
1.0
-7.2493 2.8599 2.7150
7.2493 -2.8599 2.7150
7.2493 2.8599 -2.7150
Ca Ti Al O
4 2 2 10
direct
0.0336 0.1104 0.1440
0.0336 0.3896 0.4232
0.9664 0.6104 0.5768
0.9664 0.8896 0.8560
0.5122 0.0122 0.5000
0.5122 0.5122 0.0000
0.3952 0.7219 0.1734
0.5485 0.2219 0.8266
0.0124 0.2690 0.7693
0.0124 0.7431 0.2434
0.2930 0.8935 0.8994
0.4665 0.1858 0.5753
0.4665 0.3912 0.7807
0.4998 0.2431 0.2307
0.4998 0.7690 0.7566
0.6105 0.6858 0.2193
0.6105 0.8912 0.4247
0.9941 0.3935 0.1006
```

(7)
For LaCo5P3, DFT lattice parameters and positions (GGA-PBE) gives the computed powder XRD pattern in this record (Cu Kα X-rays).

Top 8 peaks for 10 to 80 degrees two-theta, by angle:
28.11 deg, I 34; 32.19 deg, I 26; 34.05 deg, I 40; 35.01 deg, I 100; 37.61 deg, I 45; 40.94 deg, I 52; 46.85 deg, I 25; 50.25 deg, I 38

Crystal structure
```
LaCo5P3
1.0
1.8157 -5.7339 0.0000
1.8157 5.7339 0.0000
0.0000 0.0000 11.4376
La Co P
2 10 6
direct
0.1622 0.8378 0.7500
0.8378 0.1622 0.2500
0.0000 0.0000 0.0000
0.0000 0.0000 0.5000
0.1980 0.8020 0.0681
0.1980 0.8020 0.4319
0.4457 0.5543 0.6423
0.4457 0.5543 0.8577
0.5543 0.4457 0.1423
0.5543 0.4457 0.3577
0.8020 0.1980 0.5681
0.8020 0.1980 0.9319
0.1088 0.8912 0.2500
0.3829 0.6171 0.0376
0.3829 0.6171 0.4624
0.6171 0.3829 0.5376
0.6171 0.3829 0.9624
0.8912 0.1088 0.7500
```

(8)
For NaSrGaF6, DFT lattice parameters and positions (GGA-PBE) gives the computed powder XRD pattern in this record (Cu Kα X-rays).

Top 8 peaks for 10 to 80 degrees two-theta, by angle:
19.40 deg, I 28; 20.69 deg, I 100; 25.06 deg, I 47; 25.43 deg, I 74; 26.49 deg, I 97; 31.89 deg, I 40; 39.36 deg, I 38; 47.56 deg, I 74

Crystal structure
```
NaSrGaF6
1.0
5.4469 0.0000 0.0000
0.0000 9.3770 0.0000
0.0000 0.0000 10.4826
Na Sr Ga F
4 4 4 24
direct
0.0438 0.1464 0.0830
0.4562 0.8536 0.5830
0.5438 0.3536 0.9170
0.9562 0.6464 0.4170
0.0055 0.6855 0.8225
0.4945 0.3145 0.3225
0.5055 0.8145 0.1775
0.9945 0.1855 0.6775
0.0368 0.5009 0.1263
0.4632 0.4991 0.6263
0.5368 0.9991 0.8737
0.9632 0.0009 0.3737
0.1374 0.9957 0.5321
0.1554 0.8398 0.3180
0.2085 0.1208 0.2969
0.2135 0.6410 0.5866
0.2168 0.6577 0.0489
0.2177 0.5217 0.2828
0.2823 0.4783 0.7828
0.2832 0.3423 0.5489
0.2865 0.3590 0.0866
0.2915 0.8792 0.7969
0.3446 0.1602 0.8180
0.3626 0.0043 0.0321
0.6374 0.5043 0.4679
0.6554 0.6602 0.6820
0.7085 0.3792 0.7031
0.7135 0.8590 0.4134
0.7168 0.8423 0.9511
0.7177 0.9783 0.7172
0.7823 0.0217 0.2172
0.7832 0.1577 0.4511
0.7865 0.1410 0.9134
0.7915 0.6208 0.2031
0.8446 0.3398 0.1820
0.8626 0.4957 0.9679
```

(9)
For CsTeF5, DFT lattice parameters and positions (GGA-PBE) gives the computed powder XRD pattern in this record (Cu Kα X-rays).

Top 8 peaks for 10 to 80 degrees two-theta, by angle:
21.47 deg, I 100; 22.51 deg, I 44; 23.90 deg, I 27; 26.14 deg, I 66; 26.42 deg, I 24; 34.97 deg, I 40; 35.84 deg, I 34; 46.46 deg, I 18

Crystal structure
```
CsTeF5
1.0
10.4769 0.0000 0.0000
0.0000 6.7479 0.0000
0.0000 0.0000 8.5303
Cs Te F
4 4 20
direct
0.1668 0.2500 0.1354
0.3332 0.7500 0.6354
0.6668 0.2500 0.3646
0.8332 0.7500 0.8646
0.0713 0.2500 0.6383
0.4287 0.7500 0.1383
0.5713 0.2500 0.8617
0.9287 0.7500 0.3617
0.0669 0.0405 0.8059
0.0669 0.4595 0.8059
0.1361 0.0441 0.4849
0.1361 0.4559 0.4849
0.2488 0.2500 0.6951
0.2512 0.7500 0.1951
0.3639 0.5441 0.9849
0.3639 0.9559 0.9849
0.4331 0.5405 0.3059
0.4331 0.9595 0.3059
0.5669 0.0405 0.6941
0.5669 0.4595 0.6941
0.6361 0.0441 0.0151
0.6361 0.4559 0.0151
0.7488 0.2500 0.8049
0.7512 0.7500 0.3049
0.8639 0.5441 0.5151
0.8639 0.9559 0.5151
0.9331 0.5405 0.1941
0.9331 0.9595 0.1941
```